Computed X-ray diffraction stick pattern
Compound: Pr4Y3In4
Radiation: Cu Kα (weighted mean of Kα1 and Kα2)
Structure: a structure optimized by DFT (PBE)
No peak broadening, texture or thermal motion is included.

Atomic structure:
Lattice parameters (Å, degrees): 11.049 11.049 11.049 161.01 128.98 54.93
Fractional positions:
Pr1 0.011 0.838 0.174
Pr2 0.336 0.162 0.174
Pr3 0.664 0.838 0.826
Pr4 0.989 0.162 0.826
Y1 0.000 0.500 0.500
Y2 0.407 0.407 0.000
Y3 0.593 0.593 0.000
In1 0.277 0.777 0.500
In2 0.280 0.000 0.280
In3 0.720 0.000 0.720
In4 0.723 0.223 0.500

Principal peaks in the range 10° ≤ 2θ ≤ 90°, low angle first:
2θ/deg  intensity
28.02  40
31.24  83
31.34  100
32.01  79
33.29  84
33.56  50
38.73  45
45.04  34
60.24  30
61.07  31

***

Computed X-ray diffraction stick pattern
Compound: Pr8Y5In
Radiation: Cu Kα (weighted mean of Kα1 and Kα2)
Structure: a structure optimized by DFT (PBE)
No peak broadening, texture or thermal motion is included.

Atomic structure:
Lattice parameters (Å, degrees): 8.617 8.617 9.203 120.77 120.77 64.03
Fractional positions:
Pr1 0.070 0.070 0.419
Pr2 0.206 0.326 0.953
Pr3 0.456 0.196 0.350
Pr4 0.514 0.012 0.657
Pr5 0.674 0.794 0.047
Pr6 0.804 0.544 0.650
Pr7 0.930 0.930 0.581
Pr8 0.988 0.486 0.343
Y1 0.073 0.927 0.000
Y2 0.324 0.508 0.756
Y3 0.492 0.676 0.244
Y4 0.681 0.214 0.120
Y5 0.786 0.319 0.880
In1 0.333 0.667 0.500

Principal peaks in the range 10° ≤ 2θ ≤ 90°, low angle first:
2θ/deg  intensity
24.91  29
29.89  28
30.34  42
30.75  100
30.93  68
31.23  52
31.52  95
31.98  70
32.18  85
33.43  33

***

Computed X-ray diffraction stick pattern
Compound: Pr5Y2In2
Radiation: Cu Kα (weighted mean of Kα1 and Kα2)
Structure: a structure optimized by DFT (PBE)
No peak broadening, texture or thermal motion is included.

Atomic structure:
Lattice parameters (Å, degrees): 11.455 11.455 11.455 58.25 147.38 133.15
Fractional positions:
Pr1 0.113 0.083 0.196
Pr2 0.113 0.417 0.530
Pr3 0.287 0.506 0.118
Pr4 0.287 0.669 0.281
Pr5 0.388 0.006 0.719
Pr6 0.388 0.169 0.882
Pr7 0.589 0.426 0.663
Pr8 0.763 0.926 0.337
Pr9 0.887 0.583 0.470
Pr10 0.887 0.917 0.804
Y1 0.532 0.075 0.314
Y2 0.532 0.719 0.958
Y3 0.761 0.219 0.686
Y4 0.761 0.575 0.042
In1 0.103 0.773 0.830
In2 0.326 0.326 0.000
In3 0.326 0.826 0.500
In4 0.943 0.273 0.170

Principal peaks in the range 10° ≤ 2θ ≤ 90°, low angle first:
2θ/deg  intensity
27.47  43
27.73  25
31.77  100
32.42  82
32.62  97
33.30  67
50.92  21
59.60  31
60.99  21
65.48  23

***

Computed X-ray diffraction stick pattern
Compound: PrY5In4
Radiation: Cu Kα (weighted mean of Kα1 and Kα2)
Structure: a structure optimized by DFT (PBE)
No peak broadening, texture or thermal motion is included.

Atomic structure:
Lattice parameters (Å, degrees): 3.581 3.581 21.967 90.00 90.00 90.00
Fractional positions:
Pr1 0.000 0.000 0.000
Y1 0.500 0.500 0.120
Y2 0.500 0.500 0.309
Y3 0.500 0.500 0.500
Y4 0.500 0.500 0.691
Y5 0.500 0.500 0.880
In1 0.000 0.000 0.214
In2 0.000 0.000 0.405
In3 0.000 0.000 0.595
In4 0.000 0.000 0.786

Principal peaks in the range 10° ≤ 2θ ≤ 90°, low angle first:
2θ/deg  intensity
32.25  100
35.05  6
35.45  44
41.10  10
51.01  15
55.37  15
61.65  30
67.49  8
84.03  6
85.82  7

***

Computed X-ray diffraction stick pattern
Compound: Pr6Y2In3
Radiation: Cu Kα (weighted mean of Kα1 and Kα2)
Structure: a structure optimized by DFT (PBE)
No peak broadening, texture or thermal motion is included.

Atomic structure:
Lattice parameters (Å, degrees): 13.001 13.001 13.001 155.50 155.50 34.93
Fractional positions:
Pr1 0.098 0.598 0.500
Pr2 0.199 0.199 0.000
Pr3 0.402 0.902 0.500
Pr4 0.598 0.098 0.500
Pr5 0.801 0.801 0.000
Pr6 0.902 0.402 0.500
Y1 0.058 0.058 0.000
Y2 0.942 0.942 0.000
In1 0.327 0.327 0.000
In2 0.500 0.500 0.000
In3 0.673 0.673 0.000

Principal peaks in the range 10° ≤ 2θ ≤ 90°, low angle first:
2θ/deg  intensity
23.91  19
27.00  56
29.97  38
31.53  76
32.45  100
37.03  26
44.75  25
46.55  36
49.41  19
57.31  28

***

Computed X-ray diffraction stick pattern
Compound: PrY3In2
Radiation: Cu Kα (weighted mean of Kα1 and Kα2)
Structure: a structure optimized by DFT (PBE)
No peak broadening, texture or thermal motion is included.

Atomic structure:
Lattice parameters (Å, degrees): 8.639 8.639 9.255 117.20 117.20 36.68
Fractional positions:
Pr1 0.131 0.131 0.174
Pr2 0.869 0.869 0.826
Y1 0.060 0.060 0.715
Y2 0.307 0.307 0.005
Y3 0.383 0.383 0.460
Y4 0.617 0.617 0.540
Y5 0.693 0.693 0.995
Y6 0.940 0.940 0.285
In1 0.225 0.225 0.595
In2 0.482 0.482 0.833
In3 0.518 0.518 0.167
In4 0.775 0.775 0.405

Principal peaks in the range 10° ≤ 2θ ≤ 90°, low angle first:
2θ/deg  intensity
11.89  11
30.07  32
30.32  11
30.44  33
32.11  100
32.95  52
33.51  54
39.05  14
45.20  24
58.32  18

***

Computed X-ray diffraction stick pattern
Compound: PrY4In2
Radiation: Cu Kα (weighted mean of Kα1 and Kα2)
Structure: a structure optimized by DFT (PBE)
No peak broadening, texture or thermal motion is included.

Atomic structure:
Lattice parameters (Å, degrees): 6.594 10.764 6.899 90.00 115.63 90.00
Fractional positions:
Pr1 0.000 0.000 0.000
Pr2 0.000 0.500 0.500
Y1 0.002 0.168 0.500
Y2 0.002 0.332 0.000
Y3 0.498 0.721 0.499
Y4 0.498 0.779 0.999
Y5 0.502 0.221 0.001
Y6 0.502 0.279 0.501
Y7 0.998 0.668 0.000
Y8 0.998 0.832 0.500
In1 0.443 0.000 0.683
In2 0.443 0.500 0.183
In3 0.557 0.000 0.317
In4 0.557 0.500 0.817

Principal peaks in the range 10° ≤ 2θ ≤ 90°, low angle first:
2θ/deg  intensity
25.96  38
28.71  38
29.41  85
30.06  100
30.90  72
33.28  55
35.36  93
35.63  34
45.52  45
50.87  43

***

Computed X-ray diffraction stick pattern
Compound: Pr3YIn2
Radiation: Cu Kα (weighted mean of Kα1 and Kα2)
Structure: a structure optimized by DFT (PBE)
No peak broadening, texture or thermal motion is included.

Atomic structure:
Lattice parameters (Å, degrees): 5.355 10.160 6.900 90.00 90.00 90.00
Fractional positions:
Pr1 0.000 0.037 0.000
Pr2 0.000 0.326 0.341
Pr3 0.000 0.674 0.841
Pr4 0.000 0.963 0.500
Pr5 0.500 0.181 0.730
Pr6 0.500 0.819 0.230
Y1 0.500 0.460 0.065
Y2 0.500 0.540 0.565
In1 0.000 0.358 0.826
In2 0.000 0.642 0.326
In3 0.500 0.147 0.246
In4 0.500 0.853 0.746

Principal peaks in the range 10° ≤ 2θ ≤ 90°, low angle first:
2θ/deg  intensity
30.83  27
31.27  100
32.09  59
33.47  40
37.20  13
46.52  19
50.90  11
56.64  14
58.44  13
58.96  10